# 1
Theoretical XRD peak list
Compound: Nd7VSe8O4
Radiation: Cu Kα X-rays
Structure: a cell relaxed with PBE+U
Peak positions follow from Bragg's law for the DFT cell and can differ from measured ones.

Cell and atoms:
```
data_Nd7VSe8O4
_space_group_name_H-M_alt 'P b a m'
_space_group_IT_number 55
_cell_length_a 14.4829
_cell_length_b 15.8476
_cell_length_c 4.0479
_cell_angle_alpha 90.00
_cell_angle_beta 90.00
_cell_angle_gamma 90.00
loop_
_space_group_symop_operation_xyz
'x,y,z'
'-x,-y,-z'
'-x,-y,z'
'x,y,-z'
'x+1/2,-y+1/2,-z'
'-x+1/2,y+1/2,z'
'-x+1/2,y+1/2,-z'
'x+1/2,-y+1/2,z'
loop_
_atom_site_label
_atom_site_type_symbol
_atom_site_fract_x
_atom_site_fract_y
_atom_site_fract_z
_atom_site_occupancy
Nd1 Nd 0.0000 0.0000 0.0000 1
Nd2 Nd 0.0068 0.3110 0.5000 1
Nd3 Nd 0.2092 0.3816 0.0000 1
Nd4 Nd 0.2197 0.1638 0.5000 1
V1 V 0.0000 0.5000 0.0000 1
Se1 Se 0.0698 0.1726 0.0000 1
Se2 Se 0.1182 0.5315 0.5000 1
Se3 Se 0.1458 0.9718 0.5000 1
Se4 Se 0.1560 0.7356 0.0000 1
O1 O 0.0447 0.3821 0.0000 1
O2 O 0.1725 0.3120 0.5000 1
```

Principal peaks in the range 15° ≤ 2θ ≤ 90°, sorted by position:
hkl, 2theta, I_rel
1 2 1, 25.46, 510
2 4 0, 25.63, 292
3 1 1, 29.34, 456
2 3 1, 30.44, 344
2 5 0, 30.79, 405
3 2 1, 30.96, 471
3 3 1, 33.51, 369
0 6 0, 33.95, 246
4 2 1, 35.13, 1000
1 5 1, 36.54, 278
6 1 0, 37.70, 295
0 0 2, 44.78, 477

# 2
Theoretical XRD peak list
Compound: FeOF
Radiation: Cu Kα X-rays
Structure: a cell relaxed with PBE+U
Peak positions follow from Bragg's law for the DFT cell and can differ from measured ones.

Cell and atoms:
```
data_FeOF
_space_group_name_H-M_alt 'A m a 2'
_space_group_IT_number 40
_cell_length_a 12.2260
_cell_length_b 6.7457
_cell_length_c 6.7510
_cell_angle_alpha 90.00
_cell_angle_beta 90.00
_cell_angle_gamma 90.00
loop_
_space_group_symop_operation_xyz
'x,y,z'
'-x,-y,z'
'-x+1/2,y,z'
'x+1/2,-y,z'
'x,y+1/2,z+1/2'
'-x,-y+1/2,z+1/2'
'-x+1/2,y+1/2,z+1/2'
'x+1/2,-y+1/2,z+1/2'
loop_
_atom_site_label
_atom_site_type_symbol
_atom_site_fract_x
_atom_site_fract_y
_atom_site_fract_z
_atom_site_occupancy
Fe1 Fe 0.0000 0.0000 0.0000 1
Fe2 Fe 0.1246 0.0289 0.4637 1
Fe3 Fe 0.2500 0.4814 0.4274 1
O1 O 0.0000 0.0000 0.2845 1
O2 O 0.1221 0.3161 0.4625 1
O3 O 0.2500 0.0067 0.6433 1
F1 F 0.0000 0.0000 0.6678 1
F2 F 0.1271 0.2011 0.9648 1
F3 F 0.2500 0.0106 0.2579 1
```

Principal peaks in the range 15° ≤ 2θ ≤ 90°, sorted by position:
hkl, 2theta, I_rel
0 2 0, 26.41, 1000
4 1 1, 34.86, 512
0 2 2, 37.70, 73
4 0 2, 39.79, 190
2 1 3, 44.98, 65
4 3 1, 52.28, 541
0 4 0, 54.38, 145
8 0 0, 60.59, 91
0 4 2, 61.45, 58
4 3 3, 66.24, 179
8 2 0, 67.25, 115
8 4 0, 85.79, 64